# CaSm2Cd6
Simulated PXRD pattern, CuKα. Input: a DFT-relaxed cell (PBE, Alexandria).
Lines closer than 0.1° are merged.

Cell lengths 8.7218, 8.7218, 3.4971 Å; angles 90.00, 90.00, 120.00 degrees
Atoms (fractional coordinates):
Ca 0.0000 0.0000 0.0000
Sm 0.3333 0.6667 0.0000
Sm 0.6667 0.3333 0.0000
Cd 0.0000 0.3330 0.5000
Cd 0.0000 0.6670 0.5000
Cd 0.3330 0.0000 0.5000
Cd 0.3330 0.3330 0.5000
Cd 0.6670 0.0000 0.5000
Cd 0.6670 0.6670 0.5000

Peak list (10 most intense, 2θ from 10° to 80°, sorted by position)
d 7.553, I 127
d 2.728, I 1000
d 2.518, I 901
d 2.043, I 108
d 1.850, I 313
d 1.749, I 97
d 1.491, I 311
d 1.454, I 155
d 1.436, I 297
d 1.259, I 95

***

# Ca4CdSn8
Simulated PXRD pattern, CuKα. Input: a DFT-relaxed cell (PBE, Alexandria).
Lines closer than 0.1° are merged.

Cell lengths 4.4917, 4.6815, 17.5780 Å; angles 90.00, 90.00, 90.00 degrees
Atoms (fractional coordinates):
Ca 0.0000 0.0000 0.0000
Ca 0.0000 0.5000 0.4635
Ca 0.5000 0.0000 0.7955
Ca 0.5000 0.5000 0.2843
Cd 0.0000 0.5000 0.7167
Sn 0.0000 0.0000 0.3085
Sn 0.0000 0.0000 0.6066
Sn 0.0000 0.5000 0.1434
Sn 0.0000 0.5000 0.8745
Sn 0.5000 0.0000 0.1425
Sn 0.5000 0.0000 0.4235
Sn 0.5000 0.5000 0.6073
Sn 0.5000 0.5000 0.9894

Peak list (10 most intense, 2θ from 10° to 80°, sorted by position)
d 4.524, I 227
d 2.836, I 1000
d 2.768, I 121
d 2.608, I 297
d 2.511, I 152
d 2.341, I 257
d 2.246, I 228
d 1.621, I 166
d 1.430, I 126
d 1.386, I 124

***

# Ca6CdSn5
Simulated PXRD pattern, CuKα. Input: a DFT-relaxed cell (PBE, Alexandria).
Lines closer than 0.1° are merged.

Cell lengths 4.9835, 9.0027, 7.9028 Å; angles 90.00, 108.14, 90.00 degrees
Atoms (fractional coordinates):
Ca 0.0000 0.2395 0.0000
Ca 0.0000 0.7605 0.0000
Ca 0.3312 0.2515 0.6628
Ca 0.3312 0.7485 0.6628
Ca 0.6688 0.2515 0.3372
Ca 0.6688 0.7485 0.3372
Cd 0.5000 0.5000 0.0000
Sn 0.1571 0.5000 0.3156
Sn 0.1703 0.0000 0.3404
Sn 0.5000 0.0000 0.0000
Sn 0.8297 0.0000 0.6596
Sn 0.8429 0.5000 0.6844

Peak list (10 most intense, 2θ from 10° to 80°, sorted by position)
d 4.501, I 363
d 2.782, I 1000
d 2.775, I 992
d 2.503, I 363
d 2.492, I 370
d 2.251, I 274
d 1.674, I 209
d 1.670, I 215
d 1.490, I 283
d 1.381, I 224